Entry 1:
For AgIr2S4, DFT lattice parameters and positions (GGA-PBE) gives the simulated PXRD pattern in this record (a wavelength of 1.5418 Å).
Intensities are scaled so that the largest is 1000.

Structure:
Cell: 7.208 7.208 10.229 Å, 90.00 90.00 90.00°
Space group I4_1/amd (No. 141, origin choice 2)
Inequivalent atoms, fractional coordinates:
Ag  0.000  0.250  0.375 (multiplicity 4)
Ir  0.000  0.000  0.000 (multiplicity 8)
S  0.000  0.034  0.768 (multiplicity 16)

The 6 most intense peaks (10° ≤ 2θ ≤ 90°), low angle first:
| 2theta | I_rel | h k l |
| --- | --- | --- |
| 15.04 | 398 | 1 0 1 |
| 29.02 | 1000 | 2 1 1 |
| 30.34 | 274 | 2 0 2 |
| 35.22 | 218 | 2 2 0 |
| 46.27 | 328 | 3 2 1 |
| 50.60 | 555 | 4 0 0 |

Entry 2:
For Zr5C4O, DFT lattice parameters and positions (GGA-PBE) gives the simulated PXRD pattern in this record (a wavelength of 1.5418 Å).
Intensities are scaled so that the largest is 1000.

Structure:
Cell: 3.337 4.697 16.691 Å, 90.00 90.00 90.00°
Space group Immm (No. 71)
Inequivalent atoms, fractional coordinates:
Zr  0.000  0.000  0.000 (multiplicity 2)
Zr  0.000  0.000  0.200 (multiplicity 4)
Zr  0.000  0.000  0.393 (multiplicity 4)
C  0.000  0.500  0.198 (multiplicity 4)
C  0.000  0.500  0.402 (multiplicity 4)
O  0.000  0.500  0.000 (multiplicity 2)

The 6 most intense peaks (10° ≤ 2θ ≤ 90°), low angle first:
| 2theta | I_rel | h k l |
| --- | --- | --- |
| 32.92 | 1000 | 1 1 0 |
| 38.13 | 549 | 1 0 5 |
| 38.33 | 275 | 0 2 0 |
| 55.03 | 175 | 2 0 0 |
| 55.18 | 352 | 1 2 5 |
| 65.63 | 266 | 2 1 5 |

Entry 3:
For Cs3CuF7, DFT lattice parameters and positions (GGA-PBE) gives the simulated PXRD pattern in this record (a wavelength of 1.5418 Å).
Intensities are scaled so that the largest is 1000.

Structure:
Cell: 8.434 8.434 6.340 Å, 90.00 90.00 90.00°
Space group P4/mbm (No. 127)
Inequivalent atoms, fractional coordinates:
Cs  0.000  0.000  0.000 (multiplicity 2)
Cs  0.188  0.312  0.500 (multiplicity 4)
Cu  0.000  0.500  0.000 (multiplicity 2)
F  0.000  0.000  0.500 (multiplicity 2)
F  0.112  0.612  0.214 (multiplicity 8)
F  0.154  0.346  0.000 (multiplicity 4)

The 6 most intense peaks (10° ≤ 2θ ≤ 90°), low angle first:
| 2theta | I_rel | h k l |
| --- | --- | --- |
| 25.37 | 1000 | 2 0 1 |
| 27.52 | 290 | 2 1 1 |
| 28.15 | 309 | 0 0 2 |
| 29.96 | 338 | 2 2 0 |
| 37.04 | 351 | 2 1 2 |
| 41.58 | 263 | 2 2 2 |